# 1
This entry pairs a crystal structure of PaIn3 with its computed powder diffraction line list. Radiation: Cu Kα, 1.54184 Å. Structure: a GGA-PBE-relaxed structure.

a = 4.6975 Å, b = 4.6975 Å, c = 4.6975 Å
α = 90.00°, β = 90.00°, γ = 90.00°
Space group Pm-3m (No. 221)
Symmetry-distinct sites (fractional):
Pa 0.0000 0.0000 0.0000 x1
In 0.0000 0.5000 0.5000 x3

Largest 8 diffraction maxima, low angle first, 2θ from 10° to 90°:
2theta  intensity
18.89  10
26.84  9
33.03  100
38.32  50
55.31  34
65.95  40
69.29  12
82.06  5


# 2
This entry pairs a crystal structure of Ca3Mn2N4 with its computed powder diffraction line list. Radiation: Cu Kα, 1.54184 Å. Structure: a GGA-PBE-relaxed structure.

a = 5.6406 Å, b = 9.6214 Å, c = 9.0592 Å
α = 90.00°, β = 90.00°, γ = 90.00°
Space group Pnna (No. 52)
Symmetry-distinct sites (fractional):
Ca 0.1165 0.1560 0.0829 x8
Ca 0.2500 0.0000 0.4029 x4
Mn 0.1521 0.2500 0.7500 x4
Mn 0.2500 0.0000 0.7340 x4
N 0.0046 0.0851 0.8361 x8
N 0.1218 0.6422 0.8763 x8

Largest 8 diffraction maxima, low angle first, 2θ from 10° to 90°:
2theta  intensity
18.53  58
29.55  38
33.10  32
33.66  100
34.97  47
37.89  35
38.31  30
51.17  31


# 3
This entry pairs a crystal structure of ErSi2Ni with its computed powder diffraction line list. Radiation: Cu Kα, 1.54184 Å. Structure: a GGA-PBE-relaxed structure.

a = 3.9505 Å, b = 16.5198 Å, c = 3.9425 Å
α = 90.00°, β = 90.00°, γ = 90.00°
Space group Cmcm (No. 63)
Symmetry-distinct sites (fractional):
Er 0.0000 0.1054 0.2500 x4
Si 0.0000 0.2508 0.7500 x4
Si 0.0000 0.4602 0.2500 x4
Ni 0.0000 0.3239 0.2500 x4

Largest 8 diffraction maxima, low angle first, 2θ from 10° to 90°:
2theta  intensity
21.52  36
25.03  32
32.54  77
35.42  73
36.08  100
39.94  32
45.99  59
59.40  32


# 4
This entry pairs a crystal structure of Ca3Pr2Sb3O14 with its computed powder diffraction line list. Radiation: Cu Kα, 1.54184 Å. Structure: a GGA-PBE-relaxed structure.

a = 13.0445 Å, b = 7.6162 Å, c = 7.5055 Å
α = 90.00°, β = 124.53°, γ = 90.00°
Space group C2/m (No. 12)
Symmetry-distinct sites (fractional):
Ca 0.0000 0.0000 0.0000 x2
Ca 0.0000 0.0000 0.5000 x2
Ca 0.0000 0.5000 0.0000 x2
Pr 0.2500 0.2500 0.5000 x4
Sb 0.0000 0.5000 0.5000 x2
Sb 0.2500 0.2500 0.0000 x4
O 0.0958 0.5000 0.3698 x4
O 0.1138 0.2977 0.6829 x8
O 0.1230 0.0000 0.3786 x4
O 0.1380 0.2680 0.0960 x8
O 0.1867 0.0000 0.9116 x4

Largest 8 diffraction maxima, low angle first, 2θ from 10° to 90°:
2theta  intensity
16.51  31
28.73  100
28.88  50
29.17  52
33.53  38
47.81  54
48.20  30
56.78  37


# 5
This entry pairs a crystal structure of LaCrN3 with its computed powder diffraction line list. Radiation: Cu Kα, 1.54184 Å. Structure: a GGA-PBE-relaxed structure.

a = 10.2419 Å, b = 10.1987 Å, c = 6.0121 Å
α = 90.00°, β = 106.77°, γ = 90.00°
Space group C2/c (No. 15)
Symmetry-distinct sites (fractional):
La 0.0000 0.0967 0.2500 x4
La 0.0000 0.3345 0.7500 x4
Cr 0.2134 0.4135 0.2568 x8
N 0.1159 0.1142 0.6607 x8
N 0.1318 0.2760 0.1569 x8
N 0.1612 0.4788 0.5089 x8

Largest 8 diffraction maxima, low angle first, 2θ from 10° to 90°:
2theta  intensity
18.09  28
23.30  16
26.71  100
28.65  16
31.07  41
32.36  53
39.71  15
49.10  24


# 6
This entry pairs a crystal structure of TcN2F6 with its computed powder diffraction line list. Radiation: Cu Kα, 1.54184 Å. Structure: a GGA-PBE-relaxed structure.

a = 5.9674 Å, b = 5.9674 Å, c = 4.9211 Å
α = 90.00°, β = 90.00°, γ = 120.00°
Space group P-3m1 (No. 164)
Symmetry-distinct sites (fractional):
Tc 0.0000 0.0000 0.0000 x1
N 0.3333 0.6667 0.7029 x2
F 0.1471 0.2941 0.2134 x6

Largest 8 diffraction maxima, low angle first, 2θ from 10° to 90°:
2theta  intensity
17.16  100
18.03  28
24.99  68
29.95  14
35.17  15
39.39  33
50.25  16
51.27  17


# 7
This entry pairs a crystal structure of Dy8Rh5C12 with its computed powder diffraction line list. Radiation: Cu Kα, 1.54184 Å. Structure: a GGA-PBE-relaxed structure.

a = 27.9403 Å, b = 3.5570 Å, c = 7.4184 Å
α = 90.00°, β = 93.95°, γ = 90.00°
Space group C2/m (No. 12)
Symmetry-distinct sites (fractional):
Dy 0.0471 0.0000 0.2969 x4
Dy 0.0881 0.0000 0.8283 x4
Dy 0.1996 0.0000 0.6092 x4
Dy 0.2063 0.0000 0.1160 x4
Rh 0.0000 0.5000 0.0000 x2
Rh 0.1100 0.5000 0.4926 x4
Rh 0.1166 0.5000 0.1277 x4
C 0.0227 0.5000 0.7553 x4
C 0.0478 0.5000 0.6139 x4
C 0.1587 0.5000 0.8737 x4
C 0.1683 0.5000 0.3472 x4
C 0.2072 0.5000 0.8690 x4
C 0.2165 0.5000 0.3647 x4

Largest 8 diffraction maxima, low angle first, 2θ from 10° to 90°:
2theta  intensity
26.48  56
29.80  47
32.63  40
33.79  100
35.30  63
35.88  98
36.50  47
51.38  42


# 8
This entry pairs a crystal structure of In2Ni7B with its computed powder diffraction line list. Radiation: Cu Kα, 1.54184 Å. Structure: a GGA-PBE-relaxed structure.

a = 4.1189 Å, b = 4.1189 Å, c = 8.1916 Å
α = 90.00°, β = 90.00°, γ = 90.00°
Space group P4/mmm (No. 123)
Symmetry-distinct sites (fractional):
In 0.0000 0.0000 0.2481 x2
Ni 0.0000 0.5000 0.0000 x2
Ni 0.0000 0.5000 0.5000 x2
Ni 0.5000 0.5000 0.0000 x1
Ni 0.5000 0.5000 0.2774 x2
B 0.5000 0.5000 0.5000 x1

Largest 8 diffraction maxima, low angle first, 2θ from 10° to 90°:
2theta  intensity
30.76  30
37.91  100
43.97  53
44.23  24
63.93  16
64.13  29
76.79  23
81.02  15